# YTc2
Theoretical powder X-ray diffraction pattern, λ = 1.5418 Å (Cu Kα). Input: a crystal structure in the Materials Project, relaxed with PBE.
No peak broadening, texture or thermal motion is included.

Structural model:
```
12
Lattice="5.3850 0.0000 0.0000 -2.6925 4.6635 0.0000 0.0000 0.0000 8.8912" Properties=species:S:1:pos:R:3 pbc="T T T"
Y 0.0000 3.1090 0.5663
Y 0.0000 3.1090 3.8793
Y 2.6925 1.5545 5.0119
Y 2.6925 1.5545 8.3248
Tc 0.0000 0.0000 0.0000
Tc 0.0000 0.0000 4.4456
Tc 0.0000 1.5970 6.6684
Tc -1.3095 3.8651 6.6684
Tc 1.3830 0.7985 2.2228
Tc 1.3095 3.8651 6.6684
Tc 4.0020 0.7985 2.2228
Tc 2.6925 3.0666 2.2228
```

Largest 8 diffraction maxima, by angle, 2θ from 10° to 90°:
Position (°2θ)	Rel. int.
33.3	24
35.9	68
39.1	100
40.0	91
43.8	24
61.2	24
66.1	34
69.9	27